Theoretical XRD peak list of NpAlNi2O6 for Cu Kα X-rays, from the GGA+U geometry in Alexandria.

Main lines, in order of rising 2θ (2θ = 10–80°):
| h k l | two_theta | I (rel.) |
| --- | --- | --- |
| 1 0 0 | 15.43 | 100 |
| 1 1 0 | 21.89 | 31 |
| 0 0 1 | 22.12 | 89 |
| 1 0 1 | 27.08 | 55 |
| 2 0 0 | 31.15 | 63 |
| 1 1 1 | 31.31 | 35 |
| 2 1 0 | 34.93 | 32 |
| 2 0 1 | 38.53 | 36 |
| 2 1 1 | 41.74 | 40 |
| 2 2 0 | 44.63 | 43 |
| 2 2 1 | 50.35 | 37 |
| 1 1 2 | 50.69 | 32 |

Cell and atoms:
a = 5.743 Å, b = 5.743 Å, c = 4.019 Å
α = 90.00°, β = 90.00°, γ = 90.00°
Fractional positions:
Np 0.000 0.000 0.000
Al 0.500 0.500 0.998
Ni 0.000 0.500 0.154
Ni 0.500 0.000 0.154
O 0.000 0.000 0.506
O 0.262 0.262 0.050
O 0.262 0.738 0.050
O 0.500 0.500 0.531
O 0.738 0.262 0.050
O 0.738 0.738 0.050